[1]
# MgPb2W2O8
Calculated powder X-ray diffraction pattern, CuKα. Input: a GGA+U-relaxed structure.
Kinematic intensities with the Lorentz-polarization factor, no thermal factor.

Top 10 peaks for 2θ = 10–80°, by angle:
- (0 0 1), 11.86°, I 76
- (1 -1 1), 24.95°, I 100
- (1 1 0), 27.24°, I 35
- (1 1 -2), 27.41°, I 34
- (-1 1 2), 32.58°, I 27
- (0 2 -1), 32.72°, I 25
- (2 0 -1), 33.47°, I 25
- (1 1 1), 34.33°, I 27
- (1 1 -3), 34.60°, I 20
- (2 -2 0), 44.60°, I 18

Atomic structure:
```
data_MgPb2W2O8
_space_group_name_H-M_alt 'P 1'
_space_group_IT_number 1
_space_group_name_Hall 'P 1'
_cell_length_a 5.3893
_cell_length_b 5.5084
_cell_length_c 8.2756
_cell_angle_alpha 107.01
_cell_angle_beta 106.44
_cell_angle_gamma 96.46
loop_
_atom_site_label
_atom_site_type_symbol
_atom_site_fract_x
_atom_site_fract_y
_atom_site_fract_z
Mg1 Mg 0.0000 0.0000 0.0000
Pb1 Pb 0.3628 0.8594 0.7127
Pb2 Pb 0.6540 0.6525 0.3052
W1 W 0.1991 0.1987 0.3969
W2 W 0.8357 0.3353 0.6688
O1 O 0.0245 0.6635 0.8412
O2 O 0.0551 0.0864 0.5822
O3 O 0.2914 0.2638 0.2007
O4 O 0.4960 0.0154 0.4774
O5 O 0.5234 0.4933 0.5812
O6 O 0.8063 0.1712 0.8409
O7 O 0.9126 0.9350 0.2028
O8 O 0.9778 0.4585 0.4742
```

***

[2]
# MgCo5P8O28
Calculated powder X-ray diffraction pattern, CuKα. Input: a GGA+U-relaxed structure.
Kinematic intensities with the Lorentz-polarization factor, no thermal factor.

Top 10 peaks for 2θ = 10–80°, by angle:
- (1 0 0), 11.39°, I 33
- (1 1 1), 16.09°, I 38
- (1 -1 0), 17.22°, I 100
- (-1 1 1), 17.63°, I 92
- (1 -1 1), 21.02°, I 34
- (2 0 0), 22.89°, I 35
- (1 2 2), 26.55°, I 43
- (2 -1 0), 26.76°, I 62
- (0 0 3), 26.87°, I 46
- (2 2 2), 32.50°, I 32

Atomic structure:
```
data_MgCo5P8O28
_space_group_name_H-M_alt 'P 1'
_space_group_IT_number 1
_space_group_name_Hall 'P 1'
_cell_length_a 7.8053
_cell_length_b 7.8057
_cell_length_c 10.5464
_cell_angle_alpha 70.73
_cell_angle_beta 87.05
_cell_angle_gamma 84.89
loop_
_atom_site_label
_atom_site_type_symbol
_atom_site_fract_x
_atom_site_fract_y
_atom_site_fract_z
Mg1 Mg 0.0000 0.0000 0.0000
Co1 Co 0.1459 0.9615 0.2540
Co2 Co 0.1650 0.9358 0.7639
Co3 Co 0.3881 0.3008 0.1753
Co4 Co 0.6201 0.6563 0.5727
Co5 Co 0.6481 0.6295 0.1047
P1 P 0.0302 0.6011 0.4794
P2 P 0.0440 0.5823 0.1978
P3 P 0.2221 0.2222 0.9310
P4 P 0.3675 0.0433 0.4812
P5 P 0.4208 0.5501 0.8616
P6 P 0.5878 0.3587 0.4152
P7 P 0.7038 0.0091 0.1411
P8 P 0.7237 0.9760 0.8554
O1 O 0.0332 0.2829 0.9222
O2 O 0.1132 0.4366 0.5827
O3 O 0.1150 0.7709 0.1373
O4 O 0.1405 0.7625 0.4240
O5 O 0.1813 0.4325 0.1936
O6 O 0.2164 0.0062 0.5796
O7 O 0.2488 0.0519 0.8853
O8 O 0.2699 0.6909 0.8335
O9 O 0.2727 0.1511 0.0837
O10 O 0.3038 0.0867 0.3357
O11 O 0.3526 0.3645 0.8510
O12 O 0.4341 0.2298 0.4825
O13 O 0.4834 0.4967 0.0089
O14 O 0.5159 0.8954 0.5122
O15 O 0.5302 0.4487 0.2637
O16 O 0.5576 0.5076 0.4827
O17 O 0.5691 0.5860 0.7583
O18 O 0.5950 0.1561 0.1782
O19 O 0.6267 0.8232 0.1877
O20 O 0.6372 0.1014 0.7360
O21 O 0.6401 0.7957 0.9279
O22 O 0.7243 0.0737 0.9772
O23 O 0.7604 0.2588 0.4289
O24 O 0.8556 0.6609 0.5352
O25 O 0.8824 0.5619 0.1260
O26 O 0.8906 0.0070 0.1813
O27 O 0.9241 0.9323 0.8458
O28 O 0.9802 0.5492 0.3484
```

***

Q: What is the formula in the second record?
A: MgCo5P8O28